Starting from DFT lattice parameters and positions (PBE), the powder X-ray diffraction pattern of LaScNi17 was computed for Cu Kα.

Principal peaks in the range 2θ from 15° to 90°, low angle first:
31.0°, I 15; 37.6°, I 36; 39.0°, I 29; 43.7°, I 64; 44.0°, I 100; 45.1°, I 36; 45.3°, I 20; 49.5°, I 57; 50.4°, I 14; 64.6°, I 14; 80.2°, I 19; 82.4°, I 19

Structure:
```
LaScNi17
1.0
4.145 2.393 4.024
-4.145 2.393 4.024
0.000 -4.786 4.024
La Sc Ni
1 1 17
Direct
0.000 0.000 0.000
0.323 0.323 0.323
0.006 0.006 0.500
0.006 0.500 0.006
0.156 0.657 0.657
0.314 0.314 0.805
0.314 0.805 0.314
0.365 0.654 0.952
0.365 0.952 0.654
0.500 0.006 0.006
0.555 0.555 0.555
0.654 0.365 0.952
0.654 0.952 0.365
0.657 0.156 0.657
0.657 0.657 0.156
0.753 0.753 0.753
0.805 0.314 0.314
0.952 0.365 0.654
0.952 0.654 0.365
```

Starting from DFT lattice parameters and positions (PBE), the powder X-ray diffraction pattern of KMgCu2 was computed for Cu Kα.

Principal peaks in the range 2θ from 15° to 90°, low angle first:
23.8°, I 16; 26.7°, I 36; 30.5°, I 25; 34.0°, I 44; 36.2°, I 25; 37.0°, I 100; 37.2°, I 17; 43.8°, I 19; 48.7°, I 18; 52.7°, I 16; 52.9°, I 15; 62.8°, I 13

Structure:
```
KMgCu2
1.0
3.190 0.000 0.000
0.000 3.742 0.000
-0.024 0.000 7.437
K Mg Cu
1 1 2
Direct
0.000 0.000 0.000
0.000 0.000 0.500
0.498 0.500 0.335
0.502 0.500 0.665
```

Starting from DFT lattice parameters and positions (PBE), the powder X-ray diffraction pattern of ReOs was computed for Cu Kα.

Principal peaks in the range 2θ from 15° to 90°, low angle first:
37.4°, I 12; 37.5°, I 25; 41.1°, I 38; 42.9°, I 51; 43.0°, I 100; 56.9°, I 19; 67.6°, I 18; 76.2°, I 24; 82.1°, I 11; 82.3°, I 10; 82.4°, I 10; 83.7°, I 15

Structure:
```
ReOs
1.0
5.013 -1.382 0.000
5.013 1.382 0.000
-1.544 0.000 6.320
Re Os
3 3
Direct
0.000 0.000 0.000
0.057 0.057 0.615
0.386 0.386 0.282
0.332 0.332 0.669
0.667 0.667 0.335
0.723 0.723 0.946
```